Computed X-ray powder pattern
Compound: CoHgSbCl6
Radiation: copper Kα
Structure: a structure optimized by DFT (GGA-PBE)

Top 10 peaks for 2θ from 10° to 90°, in order of rising 2θ:
20.65°, I = 1000, (1 1 1)
26.92°, I = 227, (2 0 0)
30.29°, I = 142, (1 3 1)
34.17°, I = 264, (2 2 1)
38.82°, I = 513, (1 3 -2)
44.03°, I = 290, (3 1 1)
44.71°, I = 124, (1 1 3)
47.56°, I = 190, (3 3 0)
59.85°, I = 121, (1 7 1)
60.40°, I = 113, (2 4 3)

a b c (Å): 6.624 11.471 6.500
angles (deg): 90.00 90.07 90.00
Space group C2 (No. 5)
One atom of each set of equivalent atoms:
Co 0.000 0.000 0.000 [2 per cell]
Hg 0.000 0.667 0.500 [2 per cell]
Sb 0.000 0.333 0.000 [2 per cell]
Cl 0.137 0.153 0.782 [4 per cell]
Cl 0.161 0.855 0.782 [4 per cell]
Cl 0.201 0.492 0.782 [4 per cell]